[1]
Simulated powder XRD pattern
Compound: PuTl2AgF6
Radiation: Cu Kα X-rays
Structure: DFT lattice parameters and positions (GGA-PBE)
Peak positions follow from Bragg's law for the DFT cell and can differ from measured ones.

Top 10 peaks for 5 to 70 degrees two-theta, low angle first:
2θ (°)	Rel. int.
16.36	11
26.32	24
26.81	100
37.89	22
38.71	11
46.76	19
47.30	13
47.42	8
47.68	6
55.28	12

Cell and atoms:
```
PuTl2AgF6
1.0
6.772 0.000 0.000
0.000 9.304 0.000
0.000 0.000 6.663
Pu Tl Ag F
2 4 2 12
Direct
0.250 0.250 0.223
0.750 0.750 0.777
0.250 0.527 0.706
0.250 0.973 0.706
0.750 0.027 0.294
0.750 0.473 0.294
0.250 0.750 0.252
0.750 0.250 0.748
0.020 0.250 0.983
0.024 0.750 0.569
0.250 0.012 0.318
0.250 0.488 0.318
0.476 0.750 0.569
0.480 0.250 0.983
0.520 0.750 0.017
0.524 0.250 0.431
0.750 0.512 0.682
0.750 0.988 0.682
0.976 0.250 0.431
0.980 0.750 0.017
```


[2]
Simulated powder XRD pattern
Compound: K6BF12
Radiation: Cu Kα X-rays
Structure: DFT lattice parameters and positions (GGA-PBE)
Peak positions follow from Bragg's law for the DFT cell and can differ from measured ones.

Top 10 peaks for 5 to 70 degrees two-theta, low angle first:
2θ (°)	Rel. int.
25.89	43
26.86	100
28.88	16
30.87	18
35.98	22
42.78	13
43.42	26
43.55	51
44.78	35
52.45	38

Cell and atoms:
```
K6BF12
1.0
5.355 3.091 3.441
-5.355 3.091 3.441
0.000 -6.183 3.441
K B F
6 1 12
Direct
0.155 0.244 0.599
0.244 0.599 0.155
0.401 0.845 0.756
0.599 0.155 0.244
0.756 0.401 0.845
0.845 0.756 0.401
0.000 0.000 0.000
0.012 0.946 0.769
0.054 0.231 0.988
0.143 0.580 0.493
0.231 0.988 0.054
0.420 0.507 0.857
0.493 0.143 0.580
0.507 0.857 0.420
0.580 0.493 0.143
0.769 0.012 0.946
0.857 0.420 0.507
0.946 0.769 0.012
0.988 0.054 0.231
```


[3]
Simulated powder XRD pattern
Compound: Ga4Cu4Pd
Radiation: Cu Kα X-rays
Structure: DFT lattice parameters and positions (GGA-PBE)
Peak positions follow from Bragg's law for the DFT cell and can differ from measured ones.

Top 10 peaks for 5 to 70 degrees two-theta, low angle first:
2θ (°)	Rel. int.
15.42	3
25.64	3
40.76	100
44.61	1
47.31	16
47.48	31
52.17	1
62.01	2
69.28	19
69.41	9

Cell and atoms:
```
Ga4Cu4Pd
1.0
-4.062 4.062 1.921
4.062 -4.062 1.921
4.062 4.062 -1.921
Ga Cu Pd
4 4 1
Direct
0.000 0.319 0.319
0.000 0.681 0.681
0.319 0.000 0.319
0.681 0.000 0.681
0.329 0.329 0.658
0.329 0.671 0.000
0.671 0.329 0.000
0.671 0.671 0.342
0.000 0.000 0.000
```


[4]
Simulated powder XRD pattern
Compound: Sc3Si4Ni2
Radiation: Cu Kα X-rays
Structure: DFT lattice parameters and positions (GGA-PBE)
Peak positions follow from Bragg's law for the DFT cell and can differ from measured ones.

Top 10 peaks for 5 to 70 degrees two-theta, low angle first:
2θ (°)	Rel. int.
15.16	33
35.34	59
35.53	72
38.18	28
38.40	100
38.94	51
39.44	100
44.88	45
45.49	85
51.86	24

Cell and atoms:
```
Sc3Si4Ni2
1.0
11.691 0.000 0.000
0.000 3.988 0.000
0.000 0.000 11.963
Sc Si Ni
12 16 8
Direct
0.019 0.250 0.187
0.195 0.750 0.580
0.247 0.250 0.349
0.253 0.750 0.849
0.305 0.250 0.080
0.481 0.750 0.687
0.519 0.250 0.313
0.695 0.750 0.920
0.747 0.250 0.151
0.753 0.750 0.651
0.805 0.250 0.420
0.981 0.750 0.813
0.058 0.250 0.467
0.109 0.250 0.936
0.123 0.250 0.733
0.173 0.750 0.202
0.327 0.250 0.702
0.377 0.750 0.233
0.391 0.750 0.436
0.442 0.750 0.967
0.558 0.250 0.033
0.609 0.250 0.564
0.623 0.250 0.767
0.673 0.750 0.298
0.827 0.250 0.798
0.877 0.750 0.267
0.891 0.750 0.064
0.942 0.750 0.533
0.050 0.750 0.365
0.089 0.750 0.027
0.411 0.250 0.527
0.450 0.250 0.865
0.550 0.750 0.135
0.589 0.750 0.473
0.911 0.250 0.973
0.950 0.250 0.635
```


[5]
Simulated powder XRD pattern
Compound: Ca5Ni9As7
Radiation: Cu Kα X-rays
Structure: DFT lattice parameters and positions (GGA-PBE)
Peak positions follow from Bragg's law for the DFT cell and can differ from measured ones.

Top 10 peaks for 5 to 70 degrees two-theta, low angle first:
2θ (°)	Rel. int.
9.99	31
17.35	21
20.06	25
35.11	100
38.02	27
43.36	52
44.62	22
45.79	38
47.04	36
50.50	42

Cell and atoms:
```
Ca5Ni9As7
1.0
10.220 0.000 0.000
-5.110 8.851 0.000
0.000 0.000 3.963
Ca Ni As
5 9 7
Direct
0.000 0.000 0.000
0.094 0.555 0.500
0.445 0.539 0.500
0.461 0.906 0.500
0.667 0.333 0.500
0.153 0.372 0.000
0.219 0.847 0.000
0.275 0.068 0.500
0.322 0.258 0.000
0.628 0.781 0.000
0.742 0.064 0.000
0.793 0.725 0.500
0.932 0.207 0.500
0.936 0.678 0.000
0.062 0.817 0.500
0.183 0.245 0.500
0.333 0.667 0.000
0.424 0.102 0.000
0.677 0.576 0.000
0.755 0.938 0.500
0.898 0.323 0.000
```


[6]
Simulated powder XRD pattern
Compound: SmDy2ScTl4
Radiation: Cu Kα X-rays
Structure: DFT lattice parameters and positions (GGA-PBE)
Peak positions follow from Bragg's law for the DFT cell and can differ from measured ones.

Top 10 peaks for 5 to 70 degrees two-theta, low angle first:
2θ (°)	Rel. int.
20.42	3
23.59	11
25.72	3
33.52	100
33.68	100
41.53	3
48.26	36
59.83	19
60.14	38
60.24	19

Cell and atoms:
```
SmDy2ScTl4
1.0
2.661 1.536 8.751
-2.661 1.536 8.751
0.000 -3.073 8.751
Sm Dy Sc Tl
1 2 1 4
Direct
0.000 0.000 0.000
0.248 0.248 0.248
0.752 0.752 0.752
0.500 0.500 0.500
0.127 0.127 0.127
0.378 0.378 0.378
0.622 0.622 0.622
0.873 0.873 0.873
```


[7]
Simulated powder XRD pattern
Compound: Mg5Sn2
Radiation: Cu Kα X-rays
Structure: DFT lattice parameters and positions (GGA-PBE)
Peak positions follow from Bragg's law for the DFT cell and can differ from measured ones.

Top 10 peaks for 5 to 70 degrees two-theta, low angle first:
2θ (°)	Rel. int.
11.90	25
20.83	66
24.14	30
26.11	36
27.31	19
33.01	26
33.97	48
35.41	62
37.23	100
48.11	26

Cell and atoms:
```
Mg5Sn2
1.0
7.460 -2.714 0.000
7.460 2.714 0.000
-0.645 0.000 8.113
Mg Sn
10 4
Direct
0.039 0.679 0.037
0.126 0.446 0.681
0.197 0.803 0.750
0.321 0.961 0.463
0.446 0.126 0.181
0.554 0.874 0.819
0.679 0.039 0.537
0.803 0.197 0.250
0.874 0.554 0.319
0.961 0.321 0.963
0.219 0.607 0.394
0.393 0.781 0.106
0.607 0.219 0.894
0.781 0.393 0.606
```


[8]
Simulated powder XRD pattern
Compound: ZrAgS4
Radiation: Cu Kα X-rays
Structure: DFT lattice parameters and positions (GGA-PBE)
Peak positions follow from Bragg's law for the DFT cell and can differ from measured ones.

Top 10 peaks for 5 to 70 degrees two-theta, low angle first:
2θ (°)	Rel. int.
13.01	67
14.13	100
19.22	33
19.35	26
24.61	50
26.20	25
29.83	35
29.99	30
39.03	60
40.29	32

Cell and atoms:
```
ZrAgS4
1.0
6.803 0.000 0.000
0.055 7.219 0.000
0.033 3.600 6.273
Zr Ag S
2 2 8
Direct
0.247 0.000 0.000
0.753 0.000 0.000
0.001 0.722 0.723
0.999 0.278 0.277
0.001 0.095 0.676
0.002 0.679 0.091
0.498 0.214 0.098
0.498 0.310 0.775
0.502 0.690 0.225
0.502 0.786 0.902
0.998 0.321 0.909
0.999 0.905 0.324
```


[9]
Simulated powder XRD pattern
Compound: Y2Zr3Ni2
Radiation: Cu Kα X-rays
Structure: DFT lattice parameters and positions (GGA-PBE)
Peak positions follow from Bragg's law for the DFT cell and can differ from measured ones.

Top 10 peaks for 5 to 70 degrees two-theta, low angle first:
2θ (°)	Rel. int.
32.01	37
33.48	100
34.25	31
35.19	56
36.56	37
37.60	52
37.86	64
41.60	26
52.89	28
63.38	28

Cell and atoms:
```
Y2Zr3Ni2
1.0
5.671 -1.731 0.000
5.671 1.731 0.000
-3.246 0.000 7.801
Y Zr Ni
2 3 2
Direct
0.155 0.155 0.299
0.845 0.845 0.701
0.382 0.382 0.064
0.500 0.500 0.500
0.618 0.618 0.936
0.149 0.149 0.722
0.851 0.851 0.278
```


[10]
Simulated powder XRD pattern
Compound: Li15Mg2Au2
Radiation: Cu Kα X-rays
Structure: DFT lattice parameters and positions (GGA-PBE)
Peak positions follow from Bragg's law for the DFT cell and can differ from measured ones.

Top 10 peaks for 5 to 70 degrees two-theta, low angle first:
2θ (°)	Rel. int.
12.91	100
19.89	79
23.78	25
26.67	24
31.19	25
32.34	24
34.81	23
38.25	21
39.26	19
43.48	22

Cell and atoms:
```
Li15Mg2Au2
1.0
4.465 2.578 4.942
-4.465 2.578 4.942
0.000 -5.155 4.942
Li Mg Au
15 2 2
Direct
0.000 0.000 0.500
0.000 0.269 0.731
0.000 0.500 0.000
0.000 0.731 0.269
0.154 0.601 0.601
0.269 0.000 0.731
0.269 0.731 0.000
0.399 0.399 0.846
0.399 0.846 0.399
0.500 0.000 0.000
0.601 0.154 0.601
0.601 0.601 0.154
0.731 0.000 0.269
0.731 0.269 0.000
0.846 0.399 0.399
0.300 0.300 0.300
0.700 0.700 0.700
0.107 0.107 0.107
0.893 0.893 0.893
```


[11]
Simulated powder XRD pattern
Compound: DyIn4Cl7
Radiation: Cu Kα X-rays
Structure: DFT lattice parameters and positions (GGA-PBE)
Peak positions follow from Bragg's law for the DFT cell and can differ from measured ones.

Top 10 peaks for 5 to 70 degrees two-theta, low angle first:
2θ (°)	Rel. int.
21.49	81
22.23	81
22.67	64
23.56	69
24.51	70
25.49	89
29.66	50
31.63	55
34.24	100
43.18	51

Cell and atoms:
```
DyIn4Cl7
1.0
10.626 -2.619 0.000
10.626 2.619 0.000
-2.355 0.000 7.185
Dy In Cl
1 4 7
Direct
0.000 0.000 0.000
0.305 0.305 0.754
0.415 0.415 0.376
0.585 0.585 0.624
0.695 0.695 0.246
0.082 0.082 0.343
0.105 0.105 0.881
0.278 0.278 0.346
0.500 0.500 0.000
0.722 0.722 0.654
0.895 0.895 0.119
0.918 0.918 0.657
```


[12]
Simulated powder XRD pattern
Compound: Sr4Al3BiO12
Radiation: Cu Kα X-rays
Structure: DFT lattice parameters and positions (GGA-PBE)
Peak positions follow from Bragg's law for the DFT cell and can differ from measured ones.

Top 10 peaks for 5 to 70 degrees two-theta, low angle first:
2θ (°)	Rel. int.
15.89	46
27.70	26
32.10	100
36.01	15
42.90	19
46.03	37
49.00	9
57.22	40
59.78	10
67.13	22

Cell and atoms:
```
Sr4Al3BiO12
1.0
-3.944 3.944 3.944
3.944 -3.944 3.944
3.944 3.944 -3.944
Sr Al Bi O
4 3 1 12
Direct
0.000 0.000 0.500
0.000 0.500 0.000
0.500 0.000 0.000
0.500 0.500 0.500
0.000 0.500 0.500
0.500 0.000 0.500
0.500 0.500 0.000
0.000 0.000 0.000
0.000 0.263 0.263
0.000 0.737 0.737
0.250 0.500 0.750
0.250 0.750 0.500
0.263 0.000 0.263
0.263 0.263 0.000
0.500 0.250 0.750
0.500 0.750 0.250
0.737 0.000 0.737
0.737 0.737 0.000
0.750 0.250 0.500
0.750 0.500 0.250
```